This entry pairs a crystal structure of Cu2NiGeO4 with its simulated XRD peak list. Radiation: Cu Ka. Structure: a PBE+U-relaxed structure.
Kinematic intensities with the Lorentz-polarization factor, no thermal factor.

Main lines, by intensity (10° ≤ 2θ ≤ 90°):
d (Å)	I/Imax
2.688	100
2.597	98
1.626	53
2.263	37
1.388	26
1.350	21
2.338	19
1.642	15

Cell and atoms:
Lattice parameters (Å, degrees): 5.7136 5.6219 4.5319 67.50 65.38 47.12
Fractional coordinates of all 8 atoms:
Cu  0.0000  0.0000  0.5000
Cu  0.5000  0.5000  0.0000
Ni  0.2736  0.2736  0.7264
Ge  0.7415  0.7415  0.2585
O  0.0745  0.6321  0.3679
O  0.3954  0.8814  0.6046
O  0.6321  0.0745  0.9255
O  0.8814  0.3954  0.1186